[1]
The following is a theoretical powder diffraction line list of Ta3S2. It was derived from a DFT-relaxed cell (PBE, the Materials Project), using Cu Kα (weighted mean of Kα1 and Kα2).
Lines closer than 0.1° are merged.

Top 10 peaks for 2θ from 10° to 80°, in order of rising 2θ:
Position (°2θ)  I (rel.)  (hkl)
10.17  100  0 2 0
11.75  34  1 0 0
31.66  26  0 0 2
32.47  54  2 3 1
35.46  20  1 2 2
37.28  18  3 2 0
39.62  30  3 1 1
39.88  39  1 4 2
41.27  18  2 2 2
41.47  61  1 7 1

Structural model:
Cell lengths 7.5316, 17.4004, 5.6521 Å; angles 90.00, 90.00, 90.00 degrees
Space group Aem2 (No. 39)
Asymmetric unit:
1 Ta 0.0054 0.2500 0.0000 (multiplicity 4)
2 Ta 0.1048 0.1079 0.7485 (multiplicity 8)
3 Ta 0.2806 0.1668 0.2549 (multiplicity 8)
4 Ta 0.3437 0.2500 0.7342 (multiplicity 4)
5 S 0.1717 0.0406 0.1238 (multiplicity 8)
6 S 0.4159 0.1169 0.6255 (multiplicity 8)

[2]
The following is a theoretical powder diffraction line list of Ba2PrMgNbO6. It was derived from a DFT-relaxed cell (PBE, the Materials Project), using Cu Kα (weighted mean of Kα1 and Kα2).
Lines closer than 0.1° are merged.

Top 10 peaks for 2θ from 10° to 80°, in order of rising 2θ:
Position (°2θ)  I (rel.)  (hkl)
20.07  29  1 0 -1
26.29  57  0 1 2
29.31  17  0 0 2
30.17  28  0 1 -1
30.63  100  -1 1 1
40.77  17  2 2 2
42.86  30  1 -1 1
42.96  32  2 1 -2
54.45  25  3 3 1
63.78  15  4 2 0

Structural model:
Cell lengths 5.8340, 5.8367, 6.9576 Å; angles 65.23, 89.91, 60.06 degrees
Space group P1 (No. 1)
Asymmetric unit:
1 Ba 0.0000 0.0000 0.0000 (multiplicity 1)
2 Ba 0.4610 0.0772 0.3848 (multiplicity 1)
3 Pr 0.6640 0.6721 0.9920 (multiplicity 1)
4 Mg 0.8298 0.3379 0.4960 (multiplicity 1)
5 Nb 0.1845 0.6308 0.5536 (multiplicity 1)
6 O 0.2756 0.7980 0.7226 (multiplicity 1)
7 O 0.4391 0.6590 0.3247 (multiplicity 1)
8 O 0.5229 0.2045 0.7207 (multiplicity 1)
9 O 0.9024 0.1135 0.3268 (multiplicity 1)
10 O 0.9251 0.5513 0.7209 (multiplicity 1)
11 O 0.9837 0.5763 0.3252 (multiplicity 1)

[3]
The following is a theoretical powder diffraction line list of HfNp3. It was derived from a DFT-relaxed cell (PBE, the Materials Project), using Cu Kα (weighted mean of Kα1 and Kα2).
Lines closer than 0.1° are merged.

Top 9 peaks for 2θ from 10° to 80°, in order of rising 2θ:
Position (°2θ)  I (rel.)  (hkl)
22.56  1  1 0 1
35.08  100  1 1 2
39.51  18  0 0 4
41.33  32  2 0 0
58.50  24  2 0 4
59.88  11  2 2 0
68.82  15  1 1 6
71.32  27  3 1 2
74.13  12  2 2 4

Structural model:
Cell lengths 4.3692, 4.3692, 9.1234 Å; angles 90.00, 90.00, 90.00 degrees
Space group I4/mmm (No. 139)
Asymmetric unit:
1 Hf 0.0000 0.0000 0.0000 (multiplicity 2)
2 Np 0.0000 0.0000 0.5000 (multiplicity 2)
3 Np 0.0000 0.5000 0.2500 (multiplicity 4)

[4]
The following is a theoretical powder diffraction line list of HfMg6Mo. It was derived from a DFT-relaxed cell (PBE, the Materials Project), using Cu Kα (weighted mean of Kα1 and Kα2).
Lines closer than 0.1° are merged.

Top 10 peaks for 2θ from 10° to 80°, in order of rising 2θ:
Position (°2θ)  I (rel.)  (hkl)
15.75  76  0 0 2
17.58  54  1 0 0
23.69  49  1 0 2
34.73  38  0 2 2
35.61  55  2 0 0
36.57  59  1 0 4
39.17  100  1 2 2
48.49  33  2 0 4
50.58  26  2 2 2
58.54  24  0 2 6

Structural model:
Cell lengths 5.0448, 5.8154, 11.2549 Å; angles 90.00, 90.00, 90.00 degrees
Space group Amm2 (No. 38)
Asymmetric unit:
1 Hf 0.0000 0.0000 0.0000 (multiplicity 2)
2 Mg 0.0000 0.2493 0.2506 (multiplicity 4)
3 Mg 0.5000 0.0000 0.1535 (multiplicity 2)
4 Mg 0.5000 0.0000 0.6419 (multiplicity 2)
5 Mg 0.5000 0.2414 0.4138 (multiplicity 4)
6 Mo 0.0000 0.0000 0.4991 (multiplicity 2)

[5]
The following is a theoretical powder diffraction line list of CaFe2S4. It was derived from a DFT-relaxed cell (PBE, the Materials Project), using Cu Kα (weighted mean of Kα1 and Kα2).
Lines closer than 0.1° are merged.

Top 10 peaks for 2θ from 10° to 80°, in order of rising 2θ:
Position (°2θ)  I (rel.)  (hkl)
15.00  94  1 1 1
24.62  36  2 2 0
28.96  100  3 1 1
35.10  83  4 0 0
46.12  89  5 1 1
50.48  99  4 4 0
52.97  14  5 3 1
59.25  17  5 3 3
65.14  15  5 5 1
70.76  17  5 5 3

Structural model:
Cell lengths 10.2268, 10.2268, 10.2268 Å; angles 90.00, 90.00, 90.00 degrees
Space group Fd-3m (No. 227, origin choice 2)
Asymmetric unit:
1 Ca 0.1250 0.1250 0.1250 (multiplicity 8)
2 Fe 0.0000 0.0000 0.5000 (multiplicity 16)
3 S 0.0229 0.0229 0.7271 (multiplicity 32)

[6]
The following is a theoretical powder diffraction line list of KCu4As3O12. It was derived from a DFT-relaxed cell (PBE, the Materials Project), using Cu Kα (weighted mean of Kα1 and Kα2).
Lines closer than 0.1° are merged.

Top 10 peaks for 2θ from 10° to 80°, in order of rising 2θ:
Position (°2θ)  I (rel.)  (hkl)
14.08  15  0 2 0
25.08  57  1 1 -2
25.50  13  3 1 0
26.92  33  0 0 2
30.90  33  4 0 -2
32.26  19  1 3 -2
32.87  100  4 0 0
49.24  17  2 0 -4
53.05  18  6 4 -2
58.68  16  6 4 0

Structural model:
Cell lengths 12.4306, 12.5788, 7.5495 Å; angles 90.00, 118.67, 90.00 degrees
Space group C2/c (No. 15)
Asymmetric unit:
1 K 0.0000 0.0123 0.2500 (multiplicity 4)
2 Cu 0.0000 0.2625 0.7500 (multiplicity 4)
3 Cu 0.0000 0.4949 0.2500 (multiplicity 4)
4 Cu 0.2250 0.1573 0.6444 (multiplicity 8)
5 As 0.0000 0.2763 0.2500 (multiplicity 4)
6 As 0.2327 0.1194 0.1239 (multiplicity 8)
7 O 0.0479 0.2032 0.4664 (multiplicity 8)
8 O 0.1022 0.3787 0.2587 (multiplicity 8)
9 O 0.1126 0.3867 0.8201 (multiplicity 8)
10 O 0.1465 0.1675 0.8804 (multiplicity 8)
11 O 0.1800 0.0055 0.6326 (multiplicity 8)
12 O 0.2219 0.1944 0.3070 (multiplicity 8)

[7]
The following is a theoretical powder diffraction line list of LiYMg6. It was derived from a DFT-relaxed cell (PBE, the Materials Project), using Cu Kα (weighted mean of Kα1 and Kα2).
Lines closer than 0.1° are merged.

Top 10 peaks for 2θ from 10° to 80°, in order of rising 2θ:
Position (°2θ)  I (rel.)  (hkl)
15.56  51  0 0 2
17.18  25  1 0 0
23.28  53  1 1 1
31.53  33  0 2 2
34.75  36  2 0 0
35.94  52  1 0 4
36.12  100  1 2 2
47.62  20  2 2 2
63.19  18  3 2 2
67.51  19  2 2 6

Structural model:
Cell lengths 5.1624, 6.5403, 11.4224 Å; angles 90.00, 90.00, 90.00 degrees
Space group Amm2 (No. 38)
Asymmetric unit:
1 Li 0.0000 0.0000 0.0000 (multiplicity 2)
2 Y 0.5000 0.0000 0.1680 (multiplicity 2)
3 Mg 0.0000 0.0000 0.5029 (multiplicity 2)
4 Mg 0.0000 0.2469 0.7545 (multiplicity 4)
5 Mg 0.5000 0.0000 0.6730 (multiplicity 2)
6 Mg 0.5000 0.2437 0.9172 (multiplicity 4)